Structure and simulated powder XRD pattern of Li2NiP2O7 (the PBE+U geometry in the Materials Project; a wavelength of 1.5418 Å).
No peak broadening, texture or thermal motion is included.

Structural model:
Cell lengths 4.998, 8.815, 13.162 Å; angles 81.89, 79.06, 89.99 degrees
Atoms (fractional coordinates):
Li (0.000, 0.000, 0.000)
Li (0.018, 0.627, 0.183)
Li (0.154, 0.375, 0.683)
Li (0.360, 0.747, 0.500)
Li (0.500, 0.500, 0.000)
Li (0.519, 0.127, 0.183)
Li (0.654, 0.875, 0.683)
Li (0.860, 0.248, 0.500)
Ni (0.009, 0.313, 0.091)
Ni (0.257, 0.061, 0.592)
Ni (0.509, 0.814, 0.091)
Ni (0.758, 0.561, 0.591)
P (0.038, 0.674, 0.961)
P (0.154, 0.702, 0.721)
P (0.362, 0.422, 0.461)
P (0.481, 0.453, 0.221)
P (0.538, 0.174, 0.961)
P (0.654, 0.202, 0.721)
P (0.861, 0.922, 0.462)
P (0.981, 0.953, 0.221)
O (0.037, 0.859, 0.690)
O (0.042, 0.056, 0.473)
O (0.067, 0.432, 0.519)
O (0.128, 0.111, 0.191)
O (0.174, 0.819, 0.210)
O (0.192, 0.689, 0.841)
O (0.243, 0.443, 0.163)
O (0.275, 0.684, 0.019)
O (0.326, 0.437, 0.341)
O (0.346, 0.309, 0.973)
O (0.391, 0.017, 0.992)
O (0.449, 0.691, 0.663)
O (0.472, 0.067, 0.711)
O (0.477, 0.264, 0.492)
O (0.537, 0.359, 0.690)
O (0.544, 0.556, 0.472)
O (0.567, 0.931, 0.520)
O (0.627, 0.611, 0.190)
O (0.674, 0.319, 0.210)
O (0.692, 0.189, 0.841)
O (0.743, 0.943, 0.164)
O (0.775, 0.183, 0.019)
O (0.826, 0.938, 0.341)
O (0.846, 0.809, 0.973)
O (0.891, 0.517, 0.992)
O (0.948, 0.192, 0.663)
O (0.972, 0.567, 0.711)
O (0.977, 0.764, 0.492)

Principal peaks in the range 10° ≤ 2θ ≤ 80°, by angle:
2θ 13.85, d = 6.395 Å, intensity 78; 2θ 22.32, d = 3.982 Å, intensity 100; 2θ 22.46, d = 3.958 Å, intensity 48; 2θ 27.90, d = 3.197 Å, intensity 15; 2θ 30.85, d = 2.898 Å, intensity 39; 2θ 31.38, d = 2.851 Å, intensity 13; 2θ 35.45, d = 2.532 Å, intensity 38; 2θ 39.12, d = 2.303 Å, intensity 19; 2θ 42.79, d = 2.113 Å, intensity 11; 2θ 53.41, d = 1.716 Å, intensity 12

---

Structure and simulated powder XRD pattern of LiNiP2O7 (the PBE+U geometry in the Materials Project; a wavelength of 1.5418 Å).
No peak broadening, texture or thermal motion is included.

Structural model:
Cell lengths 5.297, 5.297, 4.582 Å; angles 98.48, 98.48, 101.98 degrees
Atoms (fractional coordinates):
Li (0.000, 0.000, 0.000)
Ni (0.370, 0.630, 0.000)
P (0.491, 0.084, 0.581)
P (0.916, 0.509, 0.419)
O (0.060, 0.685, 0.715)
O (0.092, 0.406, 0.212)
O (0.315, 0.940, 0.285)
O (0.359, 0.274, 0.752)
O (0.594, 0.908, 0.788)
O (0.726, 0.641, 0.248)
O (0.761, 0.239, 0.500)

Principal peaks in the range 10° ≤ 2θ ≤ 80°, by angle:
2θ 17.41, d = 5.093 Å, intensity 79; 2θ 21.59, d = 4.116 Å, intensity 48; 2θ 24.00, d = 3.708 Å, intensity 38; 2θ 28.96, d = 3.083 Å, intensity 95; 2θ 29.55, d = 3.023 Å, intensity 100; 2θ 30.06, d = 2.973 Å, intensity 86; 2θ 35.25, d = 2.546 Å, intensity 27; 2θ 42.72, d = 2.116 Å, intensity 27; 2θ 43.46, d = 2.082 Å, intensity 27; 2θ 57.61, d = 1.600 Å, intensity 24

---

Structure and simulated powder XRD pattern of LiNiPO4 (the PBE+U geometry in the Materials Project; a wavelength of 1.5418 Å).
No peak broadening, texture or thermal motion is included.

Structural model:
Cell lengths 5.495, 6.240, 9.282 Å; angles 74.90, 80.98, 76.04 degrees
Atoms (fractional coordinates):
Li (0.192, 0.478, 0.246)
Li (0.294, 0.647, 0.582)
Li (0.706, 0.353, 0.418)
Li (0.808, 0.522, 0.754)
Ni (0.226, 0.834, 0.914)
Ni (0.315, 0.935, 0.286)
Ni (0.685, 0.065, 0.714)
Ni (0.774, 0.166, 0.086)
P (0.187, 0.168, 0.577)
P (0.319, 0.301, 0.952)
P (0.681, 0.699, 0.048)
P (0.813, 0.832, 0.423)
O (0.087, 0.702, 0.383)
O (0.141, 0.150, 0.938)
O (0.194, 0.544, 0.882)
O (0.208, 0.167, 0.409)
O (0.227, 0.925, 0.678)
O (0.366, 0.251, 0.122)
O (0.391, 0.292, 0.599)
O (0.406, 0.756, 0.125)
O (0.594, 0.244, 0.875)
O (0.609, 0.708, 0.401)
O (0.634, 0.749, 0.878)
O (0.773, 0.075, 0.322)
O (0.792, 0.833, 0.591)
O (0.806, 0.456, 0.118)
O (0.859, 0.850, 0.062)
O (0.913, 0.298, 0.617)

Principal peaks in the range 10° ≤ 2θ ≤ 80°, by angle:
2θ 15.04, d = 5.889 Å, intensity 100; 2θ 22.03, d = 4.034 Å, intensity 49; 2θ 24.77, d = 3.595 Å, intensity 33; 2θ 32.31, d = 2.771 Å, intensity 37; 2θ 33.04, d = 2.711 Å, intensity 39; 2θ 33.44, d = 2.679 Å, intensity 27; 2θ 33.79, d = 2.653 Å, intensity 49; 2θ 35.74, d = 2.512 Å, intensity 30; 2θ 36.09, d = 2.489 Å, intensity 31; 2θ 52.47, d = 1.744 Å, intensity 26

---

Structure and simulated powder XRD pattern of LiNi2P3O12 (the PBE+U geometry in the Materials Project; a wavelength of 1.5418 Å).
No peak broadening, texture or thermal motion is included.

Structural model:
Cell lengths 8.337, 8.409, 8.895 Å; angles 90.59, 117.79, 119.63 degrees
Atoms (fractional coordinates):
Li (0.182, 0.427, 0.364)
Li (0.818, 0.573, 0.636)
Ni (0.286, 0.644, 0.926)
Ni (0.297, 0.147, 0.445)
Ni (0.703, 0.853, 0.555)
Ni (0.714, 0.356, 0.074)
P (0.210, 0.965, 0.747)
P (0.215, 0.755, 0.251)
P (0.497, 0.460, 0.251)
P (0.503, 0.540, 0.749)
P (0.785, 0.245, 0.749)
P (0.790, 0.035, 0.253)
O (0.001, 0.383, 0.759)
O (0.034, 0.003, 0.707)
O (0.131, 0.758, 0.754)
O (0.176, 0.697, 0.066)
O (0.264, 0.983, 0.600)
O (0.293, 0.966, 0.294)
O (0.314, 0.353, 0.585)
O (0.320, 0.329, 0.291)
O (0.374, 0.710, 0.394)
O (0.387, 0.498, 0.076)
O (0.388, 0.631, 0.762)
O (0.418, 0.108, 0.929)
O (0.582, 0.892, 0.071)
O (0.612, 0.369, 0.238)
O (0.613, 0.502, 0.924)
O (0.626, 0.290, 0.606)
O (0.680, 0.671, 0.709)
O (0.686, 0.647, 0.415)
O (0.707, 0.034, 0.706)
O (0.736, 0.017, 0.400)
O (0.824, 0.303, 0.934)
O (0.869, 0.242, 0.246)
O (0.966, 0.997, 0.293)
O (0.999, 0.617, 0.241)

Principal peaks in the range 10° ≤ 2θ ≤ 80°, by angle:
2θ 14.44, d = 6.133 Å, intensity 20; 2θ 14.58, d = 6.077 Å, intensity 55; 2θ 20.01, d = 4.437 Å, intensity 100; 2θ 21.12, d = 4.207 Å, intensity 24; 2θ 24.26, d = 3.669 Å, intensity 56; 2θ 24.38, d = 3.651 Å, intensity 39; 2θ 29.12, d = 3.066 Å, intensity 23; 2θ 29.34, d = 3.044 Å, intensity 23; 2θ 29.44, d = 3.034 Å, intensity 24; 2θ 32.01, d = 2.796 Å, intensity 40

---

Copy entry 3 word for word.
Structure and simulated powder XRD pattern of LiNiPO4 (the PBE+U geometry in the Materials Project; a wavelength of 1.5418 Å).
No peak broadening, texture or thermal motion is included.

Structural model:
Cell lengths 5.495, 6.240, 9.282 Å; angles 74.90, 80.98, 76.04 degrees
Atoms (fractional coordinates):
Li (0.192, 0.478, 0.246)
Li (0.294, 0.647, 0.582)
Li (0.706, 0.353, 0.418)
Li (0.808, 0.522, 0.754)
Ni (0.226, 0.834, 0.914)
Ni (0.315, 0.935, 0.286)
Ni (0.685, 0.065, 0.714)
Ni (0.774, 0.166, 0.086)
P (0.187, 0.168, 0.577)
P (0.319, 0.301, 0.952)
P (0.681, 0.699, 0.048)
P (0.813, 0.832, 0.423)
O (0.087, 0.702, 0.383)
O (0.141, 0.150, 0.938)
O (0.194, 0.544, 0.882)
O (0.208, 0.167, 0.409)
O (0.227, 0.925, 0.678)
O (0.366, 0.251, 0.122)
O (0.391, 0.292, 0.599)
O (0.406, 0.756, 0.125)
O (0.594, 0.244, 0.875)
O (0.609, 0.708, 0.401)
O (0.634, 0.749, 0.878)
O (0.773, 0.075, 0.322)
O (0.792, 0.833, 0.591)
O (0.806, 0.456, 0.118)
O (0.859, 0.850, 0.062)
O (0.913, 0.298, 0.617)

Principal peaks in the range 10° ≤ 2θ ≤ 80°, by angle:
2θ 15.04, d = 5.889 Å, intensity 100; 2θ 22.03, d = 4.034 Å, intensity 49; 2θ 24.77, d = 3.595 Å, intensity 33; 2θ 32.31, d = 2.771 Å, intensity 37; 2θ 33.04, d = 2.711 Å, intensity 39; 2θ 33.44, d = 2.679 Å, intensity 27; 2θ 33.79, d = 2.653 Å, intensity 49; 2θ 35.74, d = 2.512 Å, intensity 30; 2θ 36.09, d = 2.489 Å, intensity 31; 2θ 52.47, d = 1.744 Å, intensity 26